Record 1
This entry pairs a crystal structure of Sr3ScB3O9 with its simulated powder diffraction line list. Radiation: Cu Kα. Structure: a DFT-relaxed cell (GGA-PBE, the Materials Project).
Intensities are scaled so that the largest is 100.

Main lines, most intense first (10° ≤ 2θ ≤ 80°):
- 29.4°, I 100
- 31.8°, I 48
- 24.1°, I 43
- 36.1°, I 31
- 49.1°, I 28
- 38.1°, I 28
- 45.1°, I 27
- 38.8°, I 22
- 41.4°, I 21
- 48.7°, I 21
- 32.4°, I 19
- 51.7°, I 19

Atomic structure:
```
32
Lattice="6.141 3.545 3.096 -6.141 3.545 3.096 0.000 -7.090 3.096" Properties=species:S:1:pos:R:3 pbc="T T T"
Sr -0.630 -3.115 3.322
Sr -2.383 2.104 3.322
Sr -3.013 -1.012 5.967
Sr 3.013 1.012 3.322
Sr 2.383 -2.104 5.967
Sr 0.630 3.115 5.967
Sc 0.000 0.000 0.000
Sc 0.000 0.000 4.644
B -2.034 -0.576 2.174
B 1.516 -1.474 2.174
B 0.518 2.050 2.174
B -0.518 -2.050 7.114
B -1.516 1.474 7.114
B 2.034 0.576 7.114
O -4.943 -2.291 4.908
O -2.923 -3.532 4.433
O -0.487 -5.426 4.381
O -4.520 0.765 4.855
O -1.692 -0.550 3.529
O -4.456 3.135 4.381
O 1.323 -1.191 3.529
O 1.598 -4.297 4.855
O 0.370 1.741 3.529
O -0.370 -1.741 5.759
O -1.598 4.297 4.433
O -1.323 1.191 5.759
O 4.456 -3.135 4.908
O 1.692 0.550 5.759
O 4.520 -0.765 4.433
O 0.487 5.426 4.908
O 2.923 3.532 4.855
O 4.943 2.291 4.381
```


Record 2
This entry pairs a crystal structure of CsSrMg6 with its simulated powder diffraction line list. Radiation: Cu Kα. Structure: a DFT-relaxed cell (GGA-PBE, the Materials Project).
Intensities are scaled so that the largest is 100.

Main lines, most intense first (10° ≤ 2θ ≤ 80°):
- 32.7°, I 100
- 21.2°, I 67
- 30.6°, I 64
- 27.7°, I 52
- 12.5°, I 36
- 17.0°, I 35
- 34.3°, I 31
- 44.7°, I 27
- 25.2°, I 24
- 35.5°, I 20
- 49.4°, I 19
- 30.1°, I 18

Atomic structure:
```
8
Lattice="5.223 0.000 0.000 0.000 3.617 7.060 0.000 -3.617 7.060" Properties=species:S:1:pos:R:3 pbc="T T T"
Cs 0.000 0.000 0.000
Sr 0.000 0.000 6.936
Mg 0.000 -1.761 10.499
Mg 0.000 1.761 10.499
Mg 2.611 -1.697 5.107
Mg 2.611 0.000 2.615
Mg 2.611 1.697 5.107
Mg 2.611 0.000 9.580
```


Record 3
This entry pairs a crystal structure of P with its simulated powder diffraction line list. Radiation: Cu Kα. Structure: a DFT-relaxed cell (GGA-PBE, the Materials Project).
Intensities are scaled so that the largest is 100.

Main lines, most intense first (10° ≤ 2θ ≤ 80°):
- 35.4°, I 100
- 52.5°, I 32
- 49.4°, I 28
- 64.9°, I 15
- 28.8°, I 11
- 58.2°, I 10
- 74.9°, I 8
- 78.6°, I 7
- 60.9°, I 7
- 59.6°, I 3
- 31.1°, I 3

Atomic structure:
```
2
Lattice="1.744 1.007 3.104 -1.744 1.007 3.104 0.000 -2.014 3.104" Properties=species:S:1:pos:R:3 pbc="T T T"
P 0.000 0.000 2.121
P 0.000 0.000 7.191
```


Record 4
This entry pairs a crystal structure of Nd3NbO7 with its simulated powder diffraction line list. Radiation: Cu Kα. Structure: a DFT-relaxed cell (GGA-PBE, the Materials Project).
Intensities are scaled so that the largest is 100.

Main lines, most intense first (10° ≤ 2θ ≤ 80°):
- 28.2°, I 100
- 28.6°, I 90
- 47.1°, I 49
- 33.1°, I 41
- 55.9°, I 27
- 32.5°, I 21
- 46.9°, I 18
- 56.7°, I 16
- 75.7°, I 14
- 30.9°, I 11
- 55.4°, I 11
- 26.2°, I 10

Atomic structure:
```
22
Lattice="5.508 -3.782 0.000 5.508 3.782 0.000 0.000 0.000 7.746" Properties=species:S:1:pos:R:3 pbc="T T T"
Nd 0.000 0.000 0.000
Nd 0.000 0.000 3.873
Nd 3.017 1.551 5.810
Nd 3.017 -1.551 1.937
Nd 7.999 1.551 5.810
Nd 7.999 -1.551 1.937
Nb 5.508 0.000 0.000
Nb 5.508 0.000 3.873
O 1.446 0.170 1.937
O 1.446 -0.170 5.810
O 4.109 1.427 0.270
O 4.109 1.427 3.603
O 5.508 0.539 5.810
O 6.907 1.427 0.270
O 6.907 1.427 3.603
O 4.109 -1.427 4.143
O 4.109 -1.427 7.476
O 5.508 -0.539 1.937
O 6.907 -1.427 4.143
O 6.907 -1.427 7.476
O 9.570 0.170 1.937
O 9.570 -0.170 5.810
```


What did the first record say?
This entry pairs a crystal structure of Sr3ScB3O9 with its simulated powder diffraction line list. Radiation: Cu Kα. Structure: a DFT-relaxed cell (GGA-PBE, the Materials Project).
Intensities are scaled so that the largest is 100.

Main lines, most intense first (10° ≤ 2θ ≤ 80°):
- 29.4°, I 100
- 31.8°, I 48
- 24.1°, I 43
- 36.1°, I 31
- 49.1°, I 28
- 38.1°, I 28
- 45.1°, I 27
- 38.8°, I 22
- 41.4°, I 21
- 48.7°, I 21
- 32.4°, I 19
- 51.7°, I 19

Atomic structure:
```
32
Lattice="6.141 3.545 3.096 -6.141 3.545 3.096 0.000 -7.090 3.096" Properties=species:S:1:pos:R:3 pbc="T T T"
Sr -0.630 -3.115 3.322
Sr -2.383 2.104 3.322
Sr -3.013 -1.012 5.967
Sr 3.013 1.012 3.322
Sr 2.383 -2.104 5.967
Sr 0.630 3.115 5.967
Sc 0.000 0.000 0.000
Sc 0.000 0.000 4.644
B -2.034 -0.576 2.174
B 1.516 -1.474 2.174
B 0.518 2.050 2.174
B -0.518 -2.050 7.114
B -1.516 1.474 7.114
B 2.034 0.576 7.114
O -4.943 -2.291 4.908
O -2.923 -3.532 4.433
O -0.487 -5.426 4.381
O -4.520 0.765 4.855
O -1.692 -0.550 3.529
O -4.456 3.135 4.381
O 1.323 -1.191 3.529
O 1.598 -4.297 4.855
O 0.370 1.741 3.529
O -0.370 -1.741 5.759
O -1.598 4.297 4.433
O -1.323 1.191 5.759
O 4.456 -3.135 4.908
O 1.692 0.550 5.759
O 4.520 -0.765 4.433
O 0.487 5.426 4.908
O 2.923 3.532 4.855
O 4.943 2.291 4.381
```